Diffraction record for Na2Mg2FeH8. The PXRD pattern is computed, not measured: it uses a DFT-relaxed cell (PBE, OQMD) and Cu Kα, 1.54184 Å.
Lines closer than 0.1° are merged.

Crystal structure
Cell: 5.1759 10.8429 4.3952 Å, 90.00 90.00 90.00°
Fractional positions:
Na: 0.0006 0.1414 0.0000
Na: 0.4994 0.6414 0.0000
Na: 0.5006 0.3586 0.0000
Na: 0.9994 0.8586 0.0000
Mg: 0.0334 0.3710 0.5000
Mg: 0.4666 0.8710 0.5000
Mg: 0.5334 0.1290 0.5000
Mg: 0.9666 0.6290 0.5000
Fe: 0.0000 0.5000 0.0000
Fe: 0.5000 0.0000 0.0000
H: 0.0282 0.3537 0.0000
H: 0.1459 0.7812 0.5000
H: 0.2212 0.5106 0.2446
H: 0.2212 0.5106 0.7554
H: 0.2788 0.0106 0.2446
H: 0.2788 0.0106 0.7554
H: 0.3541 0.2812 0.5000
H: 0.4718 0.8537 0.0000
H: 0.5282 0.1463 0.0000
H: 0.6459 0.7188 0.5000
H: 0.7212 0.9894 0.2446
H: 0.7212 0.9894 0.7554
H: 0.7788 0.4894 0.2446
H: 0.7788 0.4894 0.7554
H: 0.8541 0.2188 0.5000
H: 0.9718 0.6463 0.0000

Principal peaks in the range 10° ≤ 2θ ≤ 90°, low angle first:
(0 2 0), 16.35 deg, d = 5.421 Å, intensity 25.8; (1 1 0), 19.00 deg, d = 4.671 Å, intensity 65.3; (0 0 1), 20.20 deg, d = 4.395 Å, intensity 19.9; (0 2 1), 26.10 deg, d = 3.414 Å, intensity 19.5; (1 3 0), 30.16 deg, d = 2.963 Å, intensity 18.5; (2 0 0), 34.66 deg, d = 2.588 Å, intensity 35.5; (1 3 1), 36.57 deg, d = 2.457 Å, intensity 100.0; (0 0 2), 41.07 deg, d = 2.198 Å, intensity 24.0; (1 5 1), 50.11 deg, d = 1.820 Å, intensity 21.9; (2 0 2), 54.80 deg, d = 1.675 Å, intensity 19.4; (3 3 1), 63.37 deg, d = 1.468 Å, intensity 16.7; (1 3 3), 71.89 deg, d = 1.313 Å, intensity 12.0

Diffraction record for ZnCu5B2. The PXRD pattern is computed, not measured: it uses a DFT-relaxed cell (PBE, OQMD) and Cu Kα, 1.54184 Å.
Lines closer than 0.1° are merged.

Crystal structure
Cell: 3.9301 3.9301 5.5498 Å, 90.00 90.00 90.00°
Fractional positions:
Zn: 0.0000 0.0000 0.0000
Cu: 0.0000 0.5000 0.2536
Cu: 0.0000 0.5000 0.7464
Cu: 0.5000 0.0000 0.2536
Cu: 0.5000 0.0000 0.7464
Cu: 0.5000 0.5000 0.5000
B: 0.0000 0.0000 0.5000
B: 0.5000 0.5000 0.0000

Principal peaks in the range 10° ≤ 2θ ≤ 90°, low angle first:
(1 0 1), 27.82 deg, d = 3.207 Å, intensity 22.4; (1 1 0), 32.23 deg, d = 2.778 Å, intensity 10.9; (2 0 0), 46.22 deg, d = 1.964 Å, intensity 100.0; (2 1 1), 54.81 deg, d = 1.675 Å, intensity 10.1; (2 0 2), 57.47 deg, d = 1.604 Å, intensity 2.6; (2 2 0), 67.40 deg, d = 1.389 Å, intensity 9.8; (0 0 4), 67.51 deg, d = 1.387 Å, intensity 4.9; (3 0 1), 74.44 deg, d = 1.274 Å, intensity 3.8; (3 1 0), 76.69 deg, d = 1.243 Å, intensity 2.0; (1 1 4), 76.78 deg, d = 1.241 Å, intensity 1.0; (3 1 2), 85.66 deg, d = 1.134 Å, intensity 29.2

Diffraction record for FeGeB4. The PXRD pattern is computed, not measured: it uses a DFT-relaxed cell (PBE, OQMD) and Cu Kα, 1.54184 Å.
Lines closer than 0.1° are merged.

Crystal structure
Cell: 3.0257 3.0257 6.7196 Å, 90.00 90.00 120.00°
Fractional positions:
Fe: 0.0000 0.0000 0.0000
Ge: 0.0000 0.0000 0.5000
B: 0.3333 0.6667 0.2185
B: 0.3333 0.6667 0.7815
B: 0.6667 0.3333 0.2185
B: 0.6667 0.3333 0.7815

Principal peaks in the range 10° ≤ 2θ ≤ 90°, low angle first:
(0 0 2), 26.53 deg, d = 3.360 Å, intensity 31.1; (1 0 0), 34.22 deg, d = 2.620 Å, intensity 65.0; (1 0 1), 36.82 deg, d = 2.441 Å, intensity 2.9; (1 0 2), 43.81 deg, d = 2.066 Å, intensity 100.0; (0 0 4), 54.63 deg, d = 1.680 Å, intensity 9.1; (1 1 0), 61.27 deg, d = 1.513 Å, intensity 20.8; (1 0 4), 66.07 deg, d = 1.414 Å, intensity 19.7; (1 1 2), 67.95 deg, d = 1.379 Å, intensity 13.8; (2 0 0), 72.09 deg, d = 1.310 Å, intensity 7.0; (2 0 2), 78.33 deg, d = 1.221 Å, intensity 16.4; (1 1 4), 86.59 deg, d = 1.124 Å, intensity 14.0; (0 0 6), 87.00 deg, d = 1.120 Å, intensity 1.5